Simulated powder X-ray diffraction pattern of PrZn12Pd4 for Cu Kα (λ = 1.5418 Å), from a GGA-PBE-relaxed structure.

Structure:
Cell lengths 7.560, 7.560, 7.560 Å; angles 109.47, 109.47, 109.47 degrees
Fractional coordinates of all 17 atoms:
Pr (0.000, 0.000, 0.000)
Zn (0.152, 0.505, 0.352)
Zn (0.152, 0.800, 0.648)
Zn (0.200, 0.352, 0.848)
Zn (0.352, 0.152, 0.505)
Zn (0.352, 0.848, 0.200)
Zn (0.495, 0.648, 0.848)
Zn (0.505, 0.352, 0.152)
Zn (0.648, 0.152, 0.800)
Zn (0.648, 0.848, 0.495)
Zn (0.800, 0.648, 0.152)
Zn (0.848, 0.200, 0.352)
Zn (0.848, 0.495, 0.648)
Pd (0.000, 0.000, 0.500)
Pd (0.000, 0.500, 0.000)
Pd (0.500, 0.000, 0.000)
Pd (0.500, 0.500, 0.500)

Main lines, in order of rising 2θ (15 to 90 degrees two-theta):
2θ/deg, intensity
20.3, 10
28.9, 43
32.4, 100
38.6, 47
46.5, 36
51.3, 52
53.5, 40
67.9, 17
73.6, 13
75.4, 12
84.5, 9
88.1, 9